No. 1
Diffraction record for Ce8HgC4. The XRD peak list is computed, not measured: it uses a DFT-relaxed cell (PBE, Alexandria) and CuKα.
Lines closer than 0.1° are merged.

Structure:
```
Ce8HgC4
1.0
0.0000 5.4544 5.4544
5.4544 0.0000 5.4544
5.4544 5.4544 0.0000
Ce Hg C
8 1 4
Direct
0.4012 0.4012 0.4012
0.4012 0.4012 0.7963
0.4012 0.7963 0.4012
0.4058 0.8647 0.8647
0.7963 0.4012 0.4012
0.8647 0.4058 0.8647
0.8647 0.8647 0.4058
0.8647 0.8647 0.8647
0.2500 0.2500 0.2500
0.0902 0.6366 0.6366
0.6366 0.0902 0.6366
0.6366 0.6366 0.0902
0.6366 0.6366 0.6366
```

Most intense lines, 2θ from 10° to 80°, in order of rising 2θ:
2theta, I (rel.)
23.06, 18
27.11, 17
28.34, 100
32.84, 35
35.88, 28
43.09, 37
47.13, 47
55.91, 29

=====

No. 2
Diffraction record for ScAgCl. The XRD peak list is computed, not measured: it uses a DFT-relaxed cell (PBE, Alexandria) and CuKα.
Lines closer than 0.1° are merged.

Structure:
```
ScAgCl
1.0
-1.5970 1.5970 6.7396
1.5970 -1.5970 6.7396
1.5970 1.5970 -6.7396
Sc Ag Cl
1 1 1
Direct
0.0000 0.0000 0.0000
0.3557 0.3557 0.0000
0.6102 0.6102 0.0000
```

Most intense lines, 2θ from 10° to 80°, in order of rising 2θ:
2theta, I (rel.)
13.14, 53
26.45, 22
28.72, 42
34.45, 100
39.92, 44
43.95, 35
48.52, 16
68.99, 23

=====

No. 3
Diffraction record for Bi2Rh3O8. The XRD peak list is computed, not measured: it uses a DFT-relaxed cell (PBE, Alexandria) and CuKα.
Lines closer than 0.1° are merged.

Structure:
```
Bi2Rh3O8
1.0
6.3445 0.0000 0.0000
-3.1722 5.4945 0.0000
0.0000 0.0000 10.5871
Bi Rh O
4 6 16
Direct
0.3333 0.6667 0.0000
0.3333 0.6667 0.3843
0.6667 0.3333 0.5000
0.6667 0.3333 0.8843
0.1640 0.3281 0.7015
0.1640 0.8360 0.7015
0.3281 0.1640 0.2015
0.6719 0.8360 0.7015
0.8360 0.1640 0.2015
0.8360 0.6719 0.2015
0.0000 0.0000 0.2950
0.0000 0.0000 0.7950
0.0407 0.5204 0.8095
0.1545 0.3090 0.1057
0.1545 0.8455 0.1057
0.3090 0.1545 0.6057
0.3333 0.6667 0.6083
0.4796 0.5204 0.8095
0.4796 0.9593 0.8095
0.5204 0.0407 0.3095
0.5204 0.4796 0.3095
0.6667 0.3333 0.1083
0.6910 0.8455 0.1057
0.8455 0.1545 0.6057
0.8455 0.6910 0.6057
0.9593 0.4796 0.3095
```

Most intense lines, 2θ from 10° to 80°, in order of rising 2θ:
2theta, I (rel.)
23.33, 56
28.13, 35
30.10, 100
32.92, 83
33.71, 59
51.03, 53
54.73, 51
58.16, 34

=====

No. 4
Diffraction record for CdHgSe2N. The XRD peak list is computed, not measured: it uses a DFT-relaxed cell (PBE, Alexandria) and CuKα.
Lines closer than 0.1° are merged.

Structure:
```
CdHgSe2N
1.0
5.4045 0.0000 0.0000
0.0000 5.4045 0.0000
0.0000 0.0000 4.2305
Cd Hg Se N
1 1 2 1
Direct
0.0000 0.0000 0.0000
0.5000 0.5000 0.5000
0.0000 0.5000 0.0000
0.5000 0.0000 0.0000
0.0000 0.0000 0.5000
```

Most intense lines, 2θ from 10° to 80°, in order of rising 2θ:
2theta, I (rel.)
23.28, 22
26.76, 100
31.55, 49
33.15, 77
43.10, 57
47.59, 27
55.14, 35
65.87, 20

=====

No. 5
Diffraction record for ZnPb2Au. The XRD peak list is computed, not measured: it uses a DFT-relaxed cell (PBE, Alexandria) and CuKα.
Lines closer than 0.1° are merged.

Structure:
```
ZnPb2Au
1.0
4.2452 0.0000 0.0000
0.0000 4.2539 0.0000
-1.9655 0.0000 5.4307
Zn Pb Au
1 2 1
Direct
0.0000 0.0000 0.0000
0.4205 0.5000 0.8528
0.7118 0.0000 0.4567
0.1271 0.5000 0.2950
```

Most intense lines, 2θ from 10° to 80°, in order of rising 2θ:
2theta, I (rel.)
30.72, 85
31.05, 100
32.03, 44
32.99, 67
38.55, 37
39.37, 90
42.50, 42
42.61, 41

=====

No. 6
Diffraction record for Pu2Tl8Pd. The XRD peak list is computed, not measured: it uses a DFT-relaxed cell (PBE, Alexandria) and CuKα.
Lines closer than 0.1° are merged.

Structure:
```
Pu2Tl8Pd
1.0
4.8441 0.0000 0.0000
0.0000 4.8441 0.0000
0.0000 0.0000 12.5200
Pu Tl Pd
2 8 1
Direct
0.0000 0.0000 0.1918
0.0000 0.0000 0.8082
0.0000 0.5000 0.0000
0.0000 0.5000 0.3733
0.0000 0.5000 0.6267
0.5000 0.0000 0.0000
0.5000 0.0000 0.3733
0.5000 0.0000 0.6267
0.5000 0.5000 0.1872
0.5000 0.5000 0.8128
0.0000 0.0000 0.5000
```

Most intense lines, 2θ from 10° to 80°, in order of rising 2θ:
2theta, I (rel.)
29.73, 32
33.86, 100
35.86, 16
37.12, 53
52.57, 23
53.50, 19
64.83, 34
65.58, 16